For Ba3TiFe2O9, a cell relaxed with GGA+U gives the simulated PXRD pattern in this record (Cu Kα X-rays).
Peak positions follow from Bragg's law for the DFT cell and can differ from measured ones.

Most intense lines, 2θ from 10° to 90°, most intense first:
(1 1 0), 2θ = 31.01°, I 100; (3 0 0), 2θ = 55.15°, I 30; (2 0 4), 2θ = 44.43°, I 24; (1 0 3), 2θ = 26.01°, I 23; (2 0 3), 2θ = 40.89°, I 17; (2 2 0), 2θ = 64.62°, I 16; (0 0 6), 2θ = 38.23°, I 15; (4 1 0), 2θ = 89.98°, I 10; (2 0 5), 2θ = 48.67°, I 10; (3 1 4), 2θ = 73.41°, I 9

Crystal structure
a = 5.7702 Å, b = 5.7702 Å, c = 14.1164 Å
α = 90.00°, β = 90.00°, γ = 120.00°
Space group P6_3mc (No. 186)
Unique sites:
Ba (0.0000, 0.0000, 0.0000) (multiplicity 2)
Ba (0.3333, 0.6667, 0.1671) (multiplicity 2)
Ba (0.3333, 0.6667, 0.8479) (multiplicity 2)
Ti (0.3333, 0.6667, 0.6035) (multiplicity 2)
Fe (0.0000, 0.0000, 0.2533) (multiplicity 2)
Fe (0.3333, 0.6667, 0.4093) (multiplicity 2)
O (0.0390, 0.5195, 0.4964) (multiplicity 6)
O (0.1676, 0.3351, 0.6676) (multiplicity 6)
O (0.1707, 0.3413, 0.3323) (multiplicity 6)